Entry 1:
Computed powder diffraction line list
Compound: Mn2FeGe5
Radiation: Cu Ka
Structure: the PBE geometry in the Materials Project
Peak positions follow from Bragg's law for the DFT cell and can differ from measured ones.

Most intense lines, 10° ≤ 2θ ≤ 90°, low angle first:
d/Å, two_theta, I_rel
2.385, 37.72, 85.8
2.264, 39.81, 100.0
2.223, 40.59, 88.3
2.012, 45.07, 33.9
1.990, 45.58, 12.2
1.985, 45.69, 31.5
1.751, 52.23, 57.2
1.421, 65.74, 16.3
1.353, 69.49, 12.6
1.156, 83.63, 15.3

```
Mn2FeGe5
1.0
5.6894 0.0000 0.0000
0.0000 5.6894 0.0000
0.0000 0.0000 13.6974
Mn Fe Ge
8 4 20
Cartesian
0.0000 0.0000 0.0000 Mn
0.0000 0.0000 4.4918 Mn
0.0000 0.0000 9.2056 Mn
0.0000 2.8447 3.4243 Mn
2.8447 0.0000 10.2730 Mn
2.8447 2.8447 2.3569 Mn
2.8447 2.8447 6.8487 Mn
2.8447 2.8447 11.3405 Mn
0.0000 2.8447 8.0371 Fe
0.0000 2.8447 12.5090 Fe
2.8447 0.0000 1.1884 Fe
2.8447 0.0000 5.6603 Fe
0.8890 1.5317 6.1396 Ge
0.9047 4.5708 2.0779 Ge
0.9975 3.8422 10.2730 Ge
1.1186 0.9047 11.6195 Ge
1.3130 1.9557 0.7091 Ge
1.5317 4.8004 7.5578 Ge
1.7261 3.7494 4.7708 Ge
1.8473 0.9975 3.4243 Ge
1.9400 1.7261 8.9266 Ge
1.9557 4.3764 12.9883 Ge
3.7338 1.3130 12.9883 Ge
3.7494 3.9633 8.9266 Ge
3.8422 4.6920 3.4243 Ge
3.9633 1.9400 4.7708 Ge
4.1578 0.8890 7.5578 Ge
4.3764 3.7338 0.7091 Ge
4.5708 4.7848 11.6195 Ge
4.6920 1.8473 10.2730 Ge
4.7848 1.1186 2.0779 Ge
4.8004 4.1578 6.1396 Ge
```

***

Entry 2:
Computed powder diffraction line list
Compound: Mn4FeGe3
Radiation: Cu Ka
Structure: the PBE geometry in the Materials Project
Peak positions follow from Bragg's law for the DFT cell and can differ from measured ones.

Most intense lines, 10° ≤ 2θ ≤ 90°, low angle first:
d/Å, two_theta, I_rel
6.168, 14.36, 15.5
2.467, 36.42, 24.0
2.331, 38.62, 24.6
2.108, 42.91, 100.0
2.056, 44.04, 49.3
2.028, 44.68, 73.8
1.616, 56.97, 20.0
1.344, 70.01, 21.2
1.234, 77.36, 13.1
1.103, 88.65, 16.2

```
Mn4FeGe3
1.0
7.1223 0.0000 0.0000
-3.5611 6.1681 0.0000
0.0000 0.0000 4.9342
Mn Fe Ge
8 2 6
Cartesian
-0.8771 1.5191 1.2139 Mn
-2.6841 4.6489 3.7204 Mn
1.7541 0.0000 1.2139 Mn
0.8771 1.5191 3.7204 Mn
0.0000 4.1120 0.0000 Mn
3.5611 2.0560 0.0000 Mn
5.3681 0.0000 3.7204 Mn
2.6841 4.6489 1.2139 Mn
0.0000 4.1120 2.4671 Fe
3.5611 2.0560 2.4671 Fe
-1.3983 2.4220 3.6740 Ge
-2.1628 3.7461 1.2603 Ge
2.7966 0.0000 3.6740 Ge
1.3983 2.4220 1.2603 Ge
4.3256 0.0000 1.2603 Ge
2.1628 3.7461 3.6740 Ge
```

***

Entry 3:
Computed powder diffraction line list
Compound: NdMnFeGe2
Radiation: Cu Ka
Structure: the PBE geometry in the Materials Project
Peak positions follow from Bragg's law for the DFT cell and can differ from measured ones.

Most intense lines, 10° ≤ 2θ ≤ 90°, low angle first:
d/Å, two_theta, I_rel
2.812, 31.82, 29.9
2.685, 33.37, 100.0
2.500, 35.92, 93.5
1.988, 45.62, 56.9
1.914, 47.50, 40.4
1.598, 57.69, 41.2
1.406, 66.50, 17.7
1.379, 67.97, 27.3
1.226, 77.96, 18.0
1.125, 86.48, 17.1

```
NdMnFeGe2
1.0
3.9770 0.0000 0.0000
0.0000 3.9770 0.0000
0.0000 0.0000 10.9197
Nd Mn Fe Ge
2 2 2 4
Cartesian
0.0000 0.0000 0.0000 Nd
1.9885 1.9885 5.4598 Nd
0.0000 1.9885 8.1897 Mn
1.9885 0.0000 2.7299 Mn
0.0000 1.9885 2.7299 Fe
1.9885 0.0000 8.1897 Fe
0.0000 0.0000 4.1181 Ge
0.0000 0.0000 6.8016 Ge
1.9885 1.9885 1.3418 Ge
1.9885 1.9885 9.5779 Ge
```

***

Entry 4:
Computed powder diffraction line list
Compound: Nd2Mn3FeGe4
Radiation: Cu Ka
Structure: the PBE geometry in the Materials Project
Peak positions follow from Bragg's law for the DFT cell and can differ from measured ones.

Most intense lines, 10° ≤ 2θ ≤ 90°, low angle first:
d/Å, two_theta, I_rel
2.845, 31.44, 30.0
2.687, 33.35, 100.0
2.519, 35.65, 86.6
2.012, 45.06, 56.0
1.907, 47.69, 35.3
1.610, 57.20, 42.2
1.524, 60.78, 18.0
1.423, 65.62, 17.5
1.384, 67.70, 24.4
1.239, 76.98, 16.9

```
Nd2Mn3FeGe4
1.0
4.0240 0.0000 0.0000
0.0000 4.0240 0.0000
0.0000 0.0000 10.8275
Nd Mn Fe Ge
2 3 1 4
Cartesian
0.0000 2.0120 2.6789 Nd
2.0120 0.0000 8.1485 Nd
0.0000 0.0000 0.0000 Mn
0.0000 0.0000 5.4137 Mn
2.0120 2.0120 5.4137 Mn
2.0120 2.0120 0.0000 Fe
0.0000 2.0120 6.7840 Ge
0.0000 2.0120 9.5057 Ge
2.0120 0.0000 1.3217 Ge
2.0120 0.0000 4.0435 Ge
```

***

Entry 5:
Computed powder diffraction line list
Compound: Mn2Fe4SiGe
Radiation: Cu Ka
Structure: the PBE geometry in the Materials Project
Peak positions follow from Bragg's law for the DFT cell and can differ from measured ones.

Most intense lines, 10° ≤ 2θ ≤ 90°, low angle first:
d/Å, two_theta, I_rel
6.534, 13.55, 2.1
3.406, 26.16, 2.1
2.594, 34.58, 2.1
2.176, 41.49, 1.6
1.998, 45.39, 100.0
1.910, 47.62, 0.7
1.413, 66.14, 14.8
1.155, 83.75, 7.1
1.153, 83.90, 22.1
1.093, 89.66, 0.6

```
Mn2Fe4SiGe
1.0
1.9968 1.1529 6.5344
-1.9968 1.1529 6.5344
0.0000 -2.3057 6.5344
Mn Fe Si Ge
2 4 1 1
Cartesian
0.0000 0.0000 4.9005 Mn
0.0000 0.0000 14.7026 Mn
0.0000 0.0000 2.3867 Fe
0.0000 0.0000 7.3035 Fe
0.0000 0.0000 12.2996 Fe
0.0000 0.0000 17.2164 Fe
0.0000 0.0000 0.0000 Si
0.0000 0.0000 9.8015 Ge
```

***

Entry 6:
Computed powder diffraction line list
Compound: Mn4Fe8SiGe3
Radiation: Cu Ka
Structure: the PBE geometry in the Materials Project
Peak positions follow from Bragg's law for the DFT cell and can differ from measured ones.

Most intense lines, 10° ≤ 2θ ≤ 90°, low angle first:
d/Å, two_theta, I_rel
3.469, 25.68, 0.6
2.288, 39.39, 0.5
2.011, 45.08, 100.0
1.422, 65.65, 14.9
1.161, 83.19, 22.0
1.161, 83.24, 7.4

```
Mn4Fe8SiGe3
1.0
2.0104 1.1607 13.1479
-2.0104 1.1607 13.1479
0.0000 -2.3214 13.1479
Mn Fe Si Ge
4 8 1 3
Cartesian
0.0000 0.0000 4.9056 Mn
0.0000 0.0000 14.7790 Mn
0.0000 0.0000 24.6648 Mn
0.0000 0.0000 34.5382 Mn
0.0000 0.0000 2.3995 Fe
0.0000 0.0000 7.3814 Fe
0.0000 0.0000 12.3813 Fe
0.0000 0.0000 17.2482 Fe
0.0000 0.0000 22.1957 Fe
0.0000 0.0000 27.0625 Fe
0.0000 0.0000 32.0624 Fe
0.0000 0.0000 37.0443 Fe
0.0000 0.0000 0.0000 Si
0.0000 0.0000 9.8764 Ge
0.0000 0.0000 19.7219 Ge
0.0000 0.0000 29.5674 Ge
```

***

Entry 7:
Computed powder diffraction line list
Compound: FeGeN2
Radiation: Cu Ka
Structure: the PBE geometry in the Materials Project
Peak positions follow from Bragg's law for the DFT cell and can differ from measured ones.

Most intense lines, 10° ≤ 2θ ≤ 90°, low angle first:
d/Å, two_theta, I_rel
3.343, 26.67, 88.5
2.806, 31.89, 38.4
2.771, 32.30, 88.3
2.572, 34.89, 66.5
2.485, 36.15, 100.0
2.454, 36.62, 54.8
2.293, 39.30, 43.5
1.706, 53.74, 48.3
1.584, 58.27, 50.7
1.500, 61.84, 36.3

```
FeGeN2
1.0
5.6117 0.0000 0.0000
0.0000 6.4333 0.0000
-0.0043 0.0000 5.4576
Fe Ge N
4 4 8
Cartesian
0.8754 0.8742 2.2464 Fe
0.8733 2.3424 4.9752 Fe
4.7341 4.0909 0.4825 Fe
4.7319 5.5591 3.2113 Fe
1.9023 4.1053 2.2504 Ge
1.9002 5.5447 4.9792 Ge
3.7072 0.8886 0.4784 Ge
3.7050 2.3280 3.2072 Ge
1.1901 4.1353 0.5275 N
1.1880 5.5147 3.2563 N
1.7784 0.7784 0.4306 N
1.7763 2.4383 3.1594 N
3.8311 3.9951 2.2982 N
3.8289 5.6549 5.0270 N
4.4194 0.9186 2.2013 N
4.4172 2.2980 4.9301 N
```

***

Entry 8:
Computed powder diffraction line list
Compound: Fe7GeN6
Radiation: Cu Ka
Structure: the PBE geometry in the Materials Project
Peak positions follow from Bragg's law for the DFT cell and can differ from measured ones.

Most intense lines, 10° ≤ 2θ ≤ 90°, low angle first:
d/Å, two_theta, I_rel
2.541, 35.32, 35.8
2.430, 37.00, 100.0
2.370, 37.96, 74.8
2.261, 39.87, 23.9
2.232, 40.41, 23.9
2.045, 44.30, 27.3
2.022, 44.83, 32.3
1.733, 52.82, 15.2
1.633, 56.35, 15.2
1.538, 60.15, 17.1

```
Fe7GeN6
1.0
8.0868 0.0000 0.0000
0.0000 6.3394 0.0000
0.0000 0.0000 10.7079
Fe Ge N
28 4 24
Cartesian
0.0000 0.6572 2.6770 Fe
0.0000 5.6822 8.0309 Fe
0.0652 1.1607 5.9235 Fe
0.0652 5.1788 0.5696 Fe
1.4887 2.5742 0.8279 Fe
1.4887 3.7653 6.1818 Fe
1.8942 2.3029 3.4945 Fe
1.8942 4.0365 8.8485 Fe
2.1492 0.8668 8.8485 Fe
2.1492 5.4726 3.4945 Fe
2.5547 0.5956 6.1818 Fe
2.5547 5.7439 0.8279 Fe
3.9781 2.0091 0.5696 Fe
3.9781 4.3304 5.9235 Fe
4.0434 2.5125 8.0309 Fe
4.0434 3.8269 2.6770 Fe
4.1086 2.0091 4.7844 Fe
4.1086 4.3304 10.1383 Fe
5.5321 0.5956 9.8800 Fe
5.5321 5.7439 4.5260 Fe
5.9375 0.8668 7.2134 Fe
5.9375 5.4726 1.8594 Fe
6.1926 2.3029 1.8594 Fe
6.1926 4.0365 7.2134 Fe
6.5981 2.5742 4.5260 Fe
6.5981 3.7653 9.8800 Fe
8.0215 1.1607 10.1383 Fe
8.0215 5.1788 4.7844 Fe
0.0000 2.5373 8.0309 Ge
0.0000 3.8022 2.6770 Ge
4.0434 0.6324 2.6770 Ge
4.0434 5.7070 8.0309 Ge
0.2026 1.7538 4.1537 N
0.2026 4.5856 9.5077 N
1.1678 0.5535 7.3168 N
1.1678 5.7860 1.9629 N
1.6771 0.7949 10.5960 N
1.6771 5.5446 5.2420 N
2.3663 2.3749 5.2420 N
2.3663 3.9646 10.5960 N
2.8756 2.6162 1.9629 N
2.8756 3.7232 7.3168 N
3.8408 1.4159 9.5077 N
3.8408 4.9236 4.1537 N
4.2460 1.4159 6.5542 N
4.2460 4.9236 1.2002 N
5.2112 2.6162 3.3911 N
5.2112 3.7232 8.7450 N
5.7205 2.3749 0.1119 N
5.7205 3.9646 5.4658 N
6.4096 0.7949 5.4658 N
6.4096 5.5446 0.1119 N
6.9190 0.5535 8.7450 N
6.9190 5.7860 3.3911 N
7.8842 1.7538 1.2002 N
7.8842 4.5856 6.5542 N
```

***

Entry 9:
Computed powder diffraction line list
Compound: Fe6Ge2N
Radiation: Cu Ka
Structure: the PBE geometry in the Materials Project
Peak positions follow from Bragg's law for the DFT cell and can differ from measured ones.

Most intense lines, 10° ≤ 2θ ≤ 90°, low angle first:
d/Å, two_theta, I_rel
2.662, 33.67, 0.8
2.589, 34.65, 1.7
2.133, 42.37, 100.0
1.882, 48.35, 37.2
1.783, 51.24, 14.7
1.773, 51.54, 1.0
1.522, 60.84, 0.7
1.331, 70.79, 10.9
1.294, 73.11, 18.7
1.129, 86.11, 22.9

```
Fe6Ge2N
1.0
3.7648 0.0000 0.0000
0.0000 3.7648 0.0000
0.0000 0.0000 7.1309
Fe Ge N
6 2 1
Cartesian
0.0000 0.0000 1.6609 Fe
0.0000 0.0000 5.4700 Fe
0.0000 1.8824 0.0000 Fe
0.0000 1.8824 3.5655 Fe
1.8824 0.0000 0.0000 Fe
1.8824 0.0000 3.5655 Fe
1.8824 1.8824 1.7413 Ge
1.8824 1.8824 5.3896 Ge
0.0000 0.0000 3.5655 N
```